# InGa2O4
Theoretical XRD peak list, λ = 1.5418 Å (Cu Kα). Input: a cell relaxed with PBE.

abc: 4.4920 4.4920 5.2139
angles: 90.00 90.00 90.00
Space group P-42m (No. 111)
Symmetry-distinct sites (fractional):
In  0.0000  0.0000  0.0000 [1 per cell]
Ga  0.0000  0.5000  0.5000 [2 per cell]
O  0.2457  0.2457  0.2981 [4 per cell]

Principal peaks in the range 10 to 90 degrees two-theta, in order of rising 2θ:
hkl	two_theta	d (Å)	I (rel.)
1 0 0	19.8	4.492	34.6
1 0 1	26.2	3.403	33.5
1 1 1	33.0	2.713	100.0
2 0 2	53.9	1.702	31.4
1 1 3	60.7	1.525	15.8
3 1 1	68.5	1.371	22.2

***

# InGa3O6
Theoretical XRD peak list, λ = 1.5418 Å (Cu Kα). Input: a cell relaxed with PBE.

abc: 12.5422 3.1606 6.1382
angles: 90.00 104.53 90.00
Space group Cm (No. 8)
Symmetry-distinct sites (fractional):
In  0.0000  0.0000  0.0000 [2 per cell]
Ga  0.0645  0.5000  0.5160 [2 per cell]
Ga  0.2427  0.0000  0.8784 [2 per cell]
Ga  0.3099  0.5000  0.3980 [2 per cell]
O  0.0733  0.0000  0.3327 [2 per cell]
O  0.0815  0.0000  0.7477 [2 per cell]
O  0.2316  0.5000  0.6308 [2 per cell]
O  0.2334  0.5000  0.0858 [2 per cell]
O  0.3962  0.0000  0.9292 [2 per cell]
O  0.3971  0.0000  0.4438 [2 per cell]

Principal peaks in the range 10 to 90 degrees two-theta, in order of rising 2θ:
hkl	two_theta	d (Å)	I (rel.)
4 0 -1	29.5	3.031	95.9
0 0 2	30.0	2.975	96.5
1 1 1	33.8	2.652	100.0
3 1 -1	36.9	2.435	68.2
3 1 -3	54.6	1.682	29.9
7 1 -2	62.2	1.493	30.4

***

# InGaSO2
Theoretical XRD peak list, λ = 1.5418 Å (Cu Kα). Input: a cell relaxed with PBE.

abc: 6.3149 3.9418 6.9064
angles: 90.00 116.05 90.00
Space group P2_1/m (No. 11)
Symmetry-distinct sites (fractional):
In  0.2462  0.2500  0.0458 [2 per cell]
Ga  0.3072  0.7500  0.4532 [2 per cell]
S  0.2882  0.7500  0.7801 [2 per cell]
O  0.1421  0.7500  0.1453 [2 per cell]
O  0.3481  0.2500  0.4253 [2 per cell]

Principal peaks in the range 10 to 90 degrees two-theta, in order of rising 2θ:
hkl	two_theta	d (Å)	I (rel.)
1 0 -1	15.9	5.582	44.4
1 1 -1	27.7	3.220	100.0
0 0 2	28.8	3.102	30.2
2 0 0	31.5	2.837	59.6
1 1 1	34.3	2.614	41.5
1 0 -3	39.3	2.294	29.5

***

# InGaSnO5
Theoretical XRD peak list, λ = 1.5418 Å (Cu Kα). Input: a cell relaxed with PBE.

abc: 11.0551 3.2585 12.0189
angles: 90.00 99.22 90.00
Space group P2/m (No. 10)
Symmetry-distinct sites (fractional):
In  0.1189  0.0000  0.1703 [2 per cell]
In  0.1972  0.5000  0.4241 [2 per cell]
Ga  0.0988  0.0000  0.6520 [2 per cell]
Ga  0.4150  0.5000  0.2360 [2 per cell]
Sn  0.1895  0.5000  0.9075 [2 per cell]
Sn  0.5000  0.0000  0.0000 [1 per cell]
Sn  0.5000  0.0000  0.5000 [1 per cell]
O  0.0034  0.5000  0.8638 [2 per cell]
O  0.0734  0.0000  0.3502 [2 per cell]
O  0.1282  0.5000  0.5844 [2 per cell]
O  0.1908  0.0000  0.0153 [2 per cell]
O  0.1983  0.0000  0.7941 [2 per cell]
O  0.2464  0.5000  0.2435 [2 per cell]
O  0.3147  0.0000  0.4737 [2 per cell]
O  0.3844  0.5000  0.9519 [2 per cell]
O  0.4525  0.0000  0.1669 [2 per cell]
O  0.4969  0.5000  0.3846 [2 per cell]

Principal peaks in the range 10 to 90 degrees two-theta, in order of rising 2θ:
hkl	two_theta	d (Å)	I (rel.)
3 0 0	24.5	3.638	71.0
1 0 -4	29.9	2.986	77.1
1 1 2	33.0	2.712	100.0
2 1 -2	34.3	2.615	61.2
0 1 6	54.3	1.690	34.4
4 1 4	56.9	1.619	35.3

***

# TlInGaO4
Theoretical XRD peak list, λ = 1.5418 Å (Cu Kα). Input: a cell relaxed with PBE.

abc: 6.3029 6.7173 9.2430
angles: 90.00 90.00 90.00
Space group Imma (No. 74)
Symmetry-distinct sites (fractional):
Tl  0.2500  0.2500  0.2500 [4 per cell]
In  0.0000  0.0000  0.0000 [4 per cell]
Ga  0.0000  0.2500  0.6370 [4 per cell]
O  0.0000  0.0212  0.7592 [8 per cell]
O  0.2462  0.2500  0.9865 [8 per cell]

Principal peaks in the range 10 to 90 degrees two-theta, in order of rising 2θ:
hkl	two_theta	d (Å)	I (rel.)
0 1 1	16.3	5.434	73.5
1 2 1	31.7	2.822	46.3
0 1 3	32.0	2.800	48.0
2 1 1	32.9	2.726	100.0
0 2 2	33.0	2.717	51.3
2 2 4	56.5	1.629	61.9

***

# Y4InGaO
Theoretical XRD peak list, λ = 1.5418 Å (Cu Kα). Input: a cell relaxed with PBE.

abc: 6.4997 16.2201 6.5140
angles: 90.00 90.00 90.00
Space group Cmcm (No. 63)
Symmetry-distinct sites (fractional):
Y  0.0000  0.0688  0.2500 [4 per cell]
Y  0.0000  0.4168  0.2500 [4 per cell]
Y  0.2500  0.2500  0.0000 [8 per cell]
In  0.0000  0.3906  0.7500 [4 per cell]
Ga  0.0000  0.1173  0.7500 [4 per cell]
O  0.0000  0.2604  0.2500 [4 per cell]

Principal peaks in the range 10 to 90 degrees two-theta, in order of rising 2θ:
hkl	two_theta	d (Å)	I (rel.)
2 2 0	29.6	3.020	88.3
0 6 0	33.1	2.703	37.1
1 5 1	33.8	2.651	30.2
2 4 0	35.4	2.538	100.0
2 0 2	39.2	2.301	74.2
2 6 2	52.2	1.752	39.1

***

# Zn3InGaO6
Theoretical XRD peak list, λ = 1.5418 Å (Cu Kα). Input: a cell relaxed with PBE.

abc: 3.3395 3.3395 42.0154
angles: 90.00 90.00 120.00
Space group R3m (No. 160, hexagonal axes)
Symmetry-distinct sites (fractional):
Zn  0.0000  0.0000  0.0000 [3 per cell]
Zn  0.0000  0.0000  0.1242 [3 per cell]
Zn  0.0000  0.0000  0.5199 [3 per cell]
In  0.0000  0.0000  0.2600 [3 per cell]
Ga  0.0000  0.0000  0.3954 [3 per cell]
O  0.0000  0.0000  0.0623 [3 per cell]
O  0.0000  0.0000  0.1719 [3 per cell]
O  0.0000  0.0000  0.3481 [3 per cell]
O  0.0000  0.0000  0.4430 [3 per cell]
O  0.0000  0.0000  0.5673 [3 per cell]
O  0.0000  0.0000  0.9528 [3 per cell]

Principal peaks in the range 10 to 90 degrees two-theta, in order of rising 2θ:
hkl	two_theta	d (Å)	I (rel.)
1 0 1	31.0	2.885	83.2
0 0 15	32.0	2.801	57.3
1 0 7	34.4	2.605	100.0
0 1 8	35.4	2.533	93.1
1 1 0	55.0	1.670	69.2
1 1 15	65.0	1.434	44.6